Starting from a PBE-relaxed structure, the XRD peak list of Na2BO2F was calculated for Cu Kα (λ = 1.5418 Å).

Cell and atoms:
```
data_Na2BO2F
_cell_length_a 10.0615
_cell_length_b 5.9091
_cell_length_c 5.1415
_cell_angle_alpha 90.00
_cell_angle_beta 90.00
_cell_angle_gamma 90.00
_space_group_name_H-M_alt 'C m c m'
_space_group_IT_number 63
_space_group_name_Hall '-C 2c 2'
loop_
_atom_site_label
_atom_site_fract_x
_atom_site_fract_y
_atom_site_fract_z
Na1 0.1614 0.1770 0.2500
B1 0.0000 0.2982 0.7500
O1 0.1223 0.2073 0.7500
F1 0.0000 0.4492 0.2500
```

The 10 most intense peaks (2θ = 5–70°), low angle first:
2theta  Rel. int.  index
30.25  31  0 2 0
30.65  57  3 1 0
34.90  100  0 0 2
35.38  18  3 1 1
46.84  15  0 2 2
47.01  14  1 3 0
47.12  29  3 1 2
47.47  19  4 2 0
60.26  15  4 2 2
66.61  15  6 0 2

***

Starting from a PBE-relaxed structure, the XRD peak list of Mn3FeN3 was calculated for Cu Kα (λ = 1.5418 Å).

Cell and atoms:
```
data_Mn3FeN3
_cell_length_a 6.6046
_cell_length_b 6.6046
_cell_length_c 3.9380
_cell_angle_alpha 90.00
_cell_angle_beta 90.00
_cell_angle_gamma 120.00
_space_group_name_H-M_alt 'P 63/m m c'
_space_group_IT_number 194
_space_group_name_Hall '-P 6c 2c'
loop_
_atom_site_label
_atom_site_fract_x
_atom_site_fract_y
_atom_site_fract_z
Mn1 0.1734 0.3467 0.2500
Fe1 0.3333 0.6667 0.7500
N1 0.1730 0.3460 0.7500
```

The 10 most intense peaks (2θ = 5–70°), low angle first:
2theta  Rel. int.  index
27.50  1  1 0 1
31.28  64  2 0 0
38.92  100  2 0 1
41.78  2  2 1 0
46.10  26  0 0 2
48.01  2  2 1 1
55.67  41  2 2 0
56.76  19  2 0 2
65.25  6  4 0 0
70.00  16  4 0 1